Calculated PXRD pattern
Compound: Mg2CdH24Br6O12
Radiation: Cu Kα X-rays
Structure: a PBE-relaxed structure
Kinematic intensities with the Lorentz-polarization factor, no thermal factor.

Most intense lines, 10 to 80 degrees two-theta, sorted by position:
- 10.8°, I 100.0
- 13.6°, I 31.7
- 22.2°, I 71.8
- 26.4°, I 35.1
- 27.4°, I 41.8
- 27.7°, I 54.9
- 32.9°, I 74.5
- 35.5°, I 24.3
- 42.9°, I 33.1
- 45.8°, I 26.3

Structure:
Lattice parameters (Å, degrees): 8.691 8.691 8.691 74.16 74.16 74.16
Fractional coordinates of all 45 atoms:
1 Mg 0.178 0.178 0.178
2 Mg 0.822 0.822 0.822
3 Cd 0.500 0.500 0.500
4 H 0.011 0.937 0.344
5 H 0.036 0.652 0.593
6 H 0.063 0.656 0.989
7 H 0.098 0.296 0.876
8 H 0.109 0.439 0.321
9 H 0.124 0.902 0.704
10 H 0.296 0.876 0.098
11 H 0.321 0.109 0.439
12 H 0.344 0.011 0.937
13 H 0.348 0.407 0.964
14 H 0.407 0.964 0.348
15 H 0.439 0.321 0.109
16 H 0.561 0.679 0.891
17 H 0.593 0.036 0.652
18 H 0.652 0.593 0.036
19 H 0.656 0.989 0.063
20 H 0.679 0.891 0.561
21 H 0.704 0.124 0.902
22 H 0.876 0.098 0.296
23 H 0.891 0.561 0.679
24 H 0.902 0.704 0.124
25 H 0.937 0.344 0.011
26 H 0.964 0.348 0.407
27 H 0.989 0.063 0.656
28 Br 0.226 0.653 0.347
29 Br 0.347 0.226 0.653
30 Br 0.347 0.653 0.774
31 Br 0.653 0.347 0.226
32 Br 0.653 0.774 0.347
33 Br 0.774 0.347 0.653
34 O 0.008 0.945 0.700
35 O 0.055 0.300 0.992
36 O 0.056 0.357 0.311
37 O 0.300 0.992 0.055
38 O 0.311 0.056 0.357
39 O 0.357 0.311 0.056
40 O 0.643 0.689 0.944
41 O 0.689 0.944 0.643
42 O 0.700 0.008 0.945
43 O 0.944 0.643 0.689
44 O 0.945 0.700 0.008
45 O 0.992 0.055 0.300

Calculated PXRD pattern
Compound: CdH4Br3N
Radiation: Cu Kα X-rays
Structure: a PBE-relaxed structure
Kinematic intensities with the Lorentz-polarization factor, no thermal factor.

Most intense lines, 10 to 80 degrees two-theta, sorted by position:
- 10.9°, I 84.7
- 11.1°, I 53.0
- 14.6°, I 50.8
- 28.1°, I 42.5
- 28.6°, I 67.2
- 29.3°, I 39.1
- 30.2°, I 100.0
- 41.1°, I 40.0
- 42.3°, I 41.4
- 45.5°, I 48.4

Structure:
Lattice parameters (Å, degrees): 9.214 4.390 16.165 90.00 90.00 90.00
Fractional coordinates of all 36 atoms:
1 Cd 0.167 0.250 0.059
2 Cd 0.333 0.750 0.559
3 Cd 0.667 0.250 0.441
4 Cd 0.833 0.750 0.941
5 H 0.012 0.750 0.386
6 H 0.035 0.560 0.296
7 H 0.035 0.940 0.296
8 H 0.177 0.750 0.337
9 H 0.323 0.250 0.837
10 H 0.465 0.060 0.796
11 H 0.465 0.440 0.796
12 H 0.488 0.250 0.886
13 H 0.512 0.750 0.114
14 H 0.535 0.560 0.204
15 H 0.535 0.940 0.204
16 H 0.677 0.750 0.163
17 H 0.823 0.250 0.663
18 H 0.965 0.060 0.704
19 H 0.965 0.440 0.704
20 H 0.988 0.250 0.614
21 Br 0.035 0.250 0.902
22 Br 0.163 0.250 0.501
23 Br 0.218 0.750 0.711
24 Br 0.282 0.250 0.211
25 Br 0.337 0.750 0.001
26 Br 0.465 0.750 0.402
27 Br 0.535 0.250 0.598
28 Br 0.663 0.250 0.999
29 Br 0.718 0.750 0.789
30 Br 0.782 0.250 0.289
31 Br 0.837 0.750 0.499
32 Br 0.965 0.750 0.098
33 N 0.066 0.750 0.329
34 N 0.434 0.250 0.829
35 N 0.566 0.750 0.171
36 N 0.934 0.250 0.671

Calculated PXRD pattern
Compound: CdH4Br2O8
Radiation: Cu Kα X-rays
Structure: a PBE-relaxed structure
Kinematic intensities with the Lorentz-polarization factor, no thermal factor.

Most intense lines, 10 to 80 degrees two-theta, sorted by position:
- 15.2°, I 45.9
- 19.6°, I 100.0
- 23.7°, I 24.8
- 24.3°, I 64.4
- 27.1°, I 26.8
- 27.3°, I 58.8
- 28.7°, I 37.1
- 30.7°, I 25.1
- 39.8°, I 41.1
- 43.4°, I 23.3

Structure:
Lattice parameters (Å, degrees): 6.599 9.406 12.442 90.00 90.00 90.00
Fractional coordinates of all 60 atoms:
1 Cd 0.028 0.048 0.289
2 Cd 0.472 0.952 0.789
3 Cd 0.528 0.452 0.711
4 Cd 0.972 0.548 0.211
5 H 0.127 0.433 0.636
6 H 0.187 0.993 0.075
7 H 0.194 0.887 0.630
8 H 0.215 0.563 0.571
9 H 0.285 0.437 0.071
10 H 0.306 0.113 0.130
11 H 0.313 0.007 0.575
12 H 0.373 0.567 0.136
13 H 0.627 0.067 0.364
14 H 0.687 0.507 0.925
15 H 0.694 0.613 0.370
16 H 0.715 0.937 0.429
17 H 0.785 0.063 0.929
18 H 0.806 0.387 0.870
19 H 0.813 0.493 0.425
20 H 0.873 0.933 0.864
21 Br 0.174 0.672 0.885
22 Br 0.244 0.228 0.896
23 Br 0.256 0.772 0.396
24 Br 0.326 0.328 0.385
25 Br 0.674 0.828 0.115
26 Br 0.744 0.272 0.104
27 Br 0.756 0.728 0.604
28 Br 0.826 0.172 0.615
29 O 0.062 0.770 0.305
30 O 0.065 0.765 0.785
31 O 0.111 0.234 0.411
32 O 0.154 0.728 0.516
33 O 0.214 0.049 0.905
34 O 0.242 0.484 0.332
35 O 0.248 0.466 0.597
36 O 0.249 0.018 0.144
37 O 0.251 0.982 0.644
38 O 0.252 0.534 0.097
39 O 0.258 0.516 0.832
40 O 0.286 0.951 0.405
41 O 0.346 0.272 0.016
42 O 0.389 0.766 0.911
43 O 0.435 0.235 0.285
44 O 0.438 0.230 0.805
45 O 0.562 0.730 0.695
46 O 0.565 0.735 0.215
47 O 0.611 0.266 0.589
48 O 0.654 0.772 0.484
49 O 0.714 0.451 0.095
50 O 0.742 0.016 0.668
51 O 0.748 0.034 0.403
52 O 0.749 0.482 0.856
53 O 0.751 0.518 0.356
54 O 0.752 0.966 0.903
55 O 0.758 0.984 0.168
56 O 0.786 0.549 0.595
57 O 0.846 0.228 0.984
58 O 0.889 0.734 0.089
59 O 0.935 0.265 0.715
60 O 0.938 0.270 0.195

Calculated PXRD pattern
Compound: CdH2Br2O6
Radiation: Cu Kα X-rays
Structure: a PBE-relaxed structure
Kinematic intensities with the Lorentz-polarization factor, no thermal factor.

Most intense lines, 10 to 80 degrees two-theta, sorted by position:
- 14.0°, I 24.3
- 15.9°, I 22.6
- 20.1°, I 100.0
- 23.9°, I 17.3
- 24.9°, I 29.7
- 25.6°, I 16.8
- 27.8°, I 22.8
- 28.6°, I 24.9
- 32.1°, I 15.2
- 43.3°, I 15.3

Structure:
Lattice parameters (Å, degrees): 6.206 9.336 12.619 90.00 90.00 90.00
Fractional coordinates of all 44 atoms:
1 Cd 0.061 0.069 0.220
2 Cd 0.439 0.931 0.720
3 Cd 0.561 0.431 0.780
4 Cd 0.939 0.569 0.280
5 H 0.203 0.518 0.398
6 H 0.228 0.989 0.366
7 H 0.272 0.011 0.866
8 H 0.297 0.482 0.898
9 H 0.703 0.982 0.602
10 H 0.728 0.511 0.634
11 H 0.772 0.489 0.134
12 H 0.797 0.018 0.102
13 Br 0.186 0.661 0.620
14 Br 0.221 0.217 0.611
15 Br 0.279 0.783 0.111
16 Br 0.314 0.339 0.120
17 Br 0.686 0.839 0.380
18 Br 0.721 0.283 0.389
19 Br 0.779 0.717 0.889
20 Br 0.814 0.161 0.880
21 O 0.069 0.777 0.202
22 O 0.090 0.254 0.076
23 O 0.107 0.767 0.719
24 O 0.174 0.755 0.993
25 O 0.179 0.037 0.621
26 O 0.232 0.497 0.174
27 O 0.268 0.503 0.674
28 O 0.321 0.963 0.121
29 O 0.326 0.245 0.493
30 O 0.393 0.233 0.219
31 O 0.410 0.746 0.576
32 O 0.431 0.223 0.702
33 O 0.569 0.723 0.798
34 O 0.590 0.246 0.924
35 O 0.607 0.733 0.281
36 O 0.674 0.745 0.007
37 O 0.679 0.463 0.379
38 O 0.732 0.003 0.826
39 O 0.768 0.997 0.326
40 O 0.821 0.537 0.879
41 O 0.826 0.255 0.507
42 O 0.893 0.267 0.781
43 O 0.910 0.754 0.424
44 O 0.931 0.277 0.298